Starting from a cell relaxed with GGA+U, the XRD peak list of CaCoGe4O12 was simulated for λ = 1.5418 Å (Cu Kα).
Intensities are scaled so that the largest is 100.

Structure:
```
CaCoGe4O12
1.0
7.430 0.000 0.000
0.000 3.918 3.464
0.000 -3.918 3.464
Ca Co Ge O
1 1 4 12
direct
0.000 0.000 0.000
0.500 0.638 0.638
0.255 0.098 0.543
0.255 0.543 0.098
0.745 0.098 0.543
0.745 0.543 0.098
0.000 0.114 0.529
0.000 0.529 0.114
0.242 0.240 0.882
0.242 0.753 0.753
0.242 0.882 0.240
0.315 0.408 0.408
0.500 0.575 0.992
0.500 0.992 0.575
0.685 0.408 0.408
0.758 0.240 0.882
0.758 0.753 0.753
0.758 0.882 0.240
```

The 12 most intense peaks (2θ = 10–90°), by intensity:
- d = 2.696 Å, rel. 100.0
- d = 2.595 Å, rel. 96.8
- d = 4.255 Å, rel. 76.3
- d = 3.715 Å, rel. 75.8
- d = 3.464 Å, rel. 72.5
- d = 2.533 Å, rel. 63.3
- d = 3.918 Å, rel. 60.7
- d = 1.858 Å, rel. 49.0
- d = 1.569 Å, rel. 43.6
- d = 2.445 Å, rel. 41.6
- d = 1.550 Å, rel. 40.6
- d = 1.510 Å, rel. 38.8